This entry pairs a crystal structure of Sr3Fe2O6 with its computed X-ray diffraction stick pattern. Radiation: Cu Kα, 1.54184 Å. Structure: a cell relaxed with GGA+U.
Intensities are scaled so that the largest is 100.

Structural model:
```
Sr3Fe2O6
1.0
-1.9792 1.9792 10.0879
1.9792 -1.9792 10.0879
1.9792 1.9792 -10.0879
Sr Fe O
3 2 6
Cartesian
0.0000 0.0000 0.0000
0.0000 0.0000 3.6394
0.0000 0.0000 16.5363
0.0000 0.0000 8.0162
0.0000 0.0000 12.1596
1.9792 0.0000 1.7043
0.0000 0.0000 6.1117
1.9792 0.0000 8.3836
0.0000 1.9792 1.7043
0.0000 0.0000 14.0641
0.0000 1.9792 8.3836
```

Top 10 peaks for 10 to 80 degrees two-theta, by angle:
- 2θ 31.7, 2.826 Å, rel. 100
- 2θ 32.0, 2.799 Å, rel. 59
- 2θ 42.0, 2.151 Å, rel. 24
- 2θ 44.9, 2.018 Å, rel. 10
- 2θ 45.8, 1.979 Å, rel. 39
- 2θ 56.2, 1.637 Å, rel. 12
- 2θ 56.8, 1.621 Å, rel. 37
- 2θ 66.1, 1.413 Å, rel. 11
- 2θ 66.9, 1.399 Å, rel. 11
- 2θ 76.0, 1.252 Å, rel. 10